1.
Computed powder diffractogram of KSmPdO3 for Cu Kα (weighted mean of Kα1 and Kα2), from a cell relaxed with GGA-PBE.

Structural model:
```
KSmPdO3
1.0
6.6222 -1.9744 0.0000
6.6222 1.9744 0.0000
-1.9122 0.0000 7.2883
K Sm Pd O
2 2 2 6
Direct
0.1440 0.1440 0.0647
0.8560 0.8560 0.9353
0.1497 0.1497 0.5770
0.8503 0.8503 0.4230
0.4930 0.4930 0.7265
0.5070 0.5070 0.2735
0.0064 0.0064 0.3148
0.3295 0.3295 0.6306
0.3470 0.3470 0.2256
0.6530 0.6530 0.7744
0.6705 0.6705 0.3694
0.9936 0.9936 0.6852
```

Peak list (10 most intense, 10° ≤ 2θ ≤ 90°, sorted by position)
d (Å), 2θ (°), I/Imax
7.288, 12.1, 86
2.899, 30.8, 68
2.870, 31.2, 47
2.781, 32.2, 39
2.725, 32.9, 100
2.135, 42.3, 22
1.975, 46.0, 26
1.700, 53.9, 15
1.662, 55.3, 18
1.627, 56.6, 15

***

2.
Computed powder diffractogram of KPrO2 for Cu Kα (weighted mean of Kα1 and Kα2), from a cell relaxed with GGA-PBE.

Structural model:
```
KPrO2
1.0
3.6795 0.0000 0.0000
-1.8397 3.1865 0.0000
0.0000 0.0000 18.9805
K Pr O
3 3 6
Direct
0.0000 0.0000 0.0000
0.3333 0.6667 0.6667
0.6667 0.3333 0.3333
0.0000 0.0000 0.5000
0.3333 0.6667 0.1667
0.6667 0.3333 0.8333
0.0000 0.0000 0.2308
0.0000 0.0000 0.7692
0.3333 0.6667 0.4359
0.3333 0.6667 0.8974
0.6667 0.3333 0.1026
0.6667 0.3333 0.5641
```

Peak list (10 most intense, 10° ≤ 2θ ≤ 90°, sorted by position)
d (Å), 2θ (°), I/Imax
6.327, 14.0, 78
3.163, 28.2, 30
3.143, 28.4, 32
3.021, 29.6, 71
2.645, 33.9, 100
2.065, 43.8, 17
1.903, 47.8, 33
1.840, 49.5, 33
1.767, 51.7, 17
1.590, 58.0, 24

***

3.
Computed powder diffractogram of KPrSn4O12 for Cu Kα (weighted mean of Kα1 and Kα2), from a cell relaxed with GGA-PBE.

Structural model:
```
KPrSn4O12
1.0
8.1833 0.0000 0.0000
0.0000 4.0898 4.0833
0.0000 -4.0898 4.0833
K Pr Sn O
1 1 4 12
Direct
0.0000 0.0000 0.0000
0.5000 0.4775 0.4775
0.2449 0.4954 0.9858
0.2449 0.9858 0.4954
0.7551 0.4954 0.9858
0.7551 0.9858 0.4954
0.0000 0.5223 0.9766
0.0000 0.9766 0.5223
0.2460 0.2370 0.2370
0.2796 0.2636 0.7176
0.2796 0.7176 0.2636
0.3030 0.7283 0.7283
0.5000 0.0445 0.4669
0.5000 0.4669 0.0445
0.6970 0.7283 0.7283
0.7204 0.2636 0.7176
0.7204 0.7176 0.2636
0.7540 0.2370 0.2370
```

Peak list (10 most intense, 10° ≤ 2θ ≤ 90°, sorted by position)
d (Å), 2θ (°), I/Imax
4.721, 18.8, 23
4.088, 21.7, 45
2.891, 30.9, 100
2.465, 36.4, 12
2.044, 44.3, 36
1.828, 49.9, 20
1.669, 55.0, 44
1.445, 64.5, 21
1.293, 73.2, 12
1.093, 89.7, 16

***

4.
Computed powder diffractogram of KPrSn2O6 for Cu Kα (weighted mean of Kα1 and Kα2), from a cell relaxed with GGA-PBE.

Structural model:
```
KPrSn2O6
1.0
0.0000 4.0907 4.0907
4.0907 0.0000 4.0907
4.0907 4.0907 0.0000
K Pr Sn O
1 1 2 6
Direct
0.0000 0.0000 0.0000
0.5000 0.5000 0.5000
0.2500 0.2500 0.2500
0.7500 0.7500 0.7500
0.0000 0.0000 0.5000
0.0000 0.5000 0.0000
0.0000 0.5000 0.5000
0.5000 0.0000 0.0000
0.5000 0.0000 0.5000
0.5000 0.5000 0.0000
```

Peak list (10 most intense, 10° ≤ 2θ ≤ 90°, sorted by position)
d (Å), 2θ (°), I/Imax
4.724, 18.8, 15
4.091, 21.7, 7
2.893, 30.9, 100
2.467, 36.4, 9
2.045, 44.3, 33
1.670, 55.0, 41
1.446, 64.4, 20
1.294, 73.2, 18
1.181, 81.5, 7
1.093, 89.7, 23

***

5.
Computed powder diffractogram of KPrTi4O12 for Cu Kα (weighted mean of Kα1 and Kα2), from a cell relaxed with GGA-PBE.

Structural model:
```
KPrTi4O12
1.0
7.8768 0.0000 0.0000
0.0000 3.8862 3.8862
0.0000 -3.8862 3.8862
K Pr Ti O
1 1 4 12
Direct
0.0000 0.0000 0.0000
0.5000 0.4958 0.4958
0.2396 0.5004 0.9989
0.2396 0.9989 0.5004
0.7604 0.5004 0.9989
0.7604 0.9989 0.5004
0.0000 0.5067 0.9935
0.0000 0.9935 0.5067
0.2566 0.2516 0.2516
0.2667 0.2611 0.7376
0.2667 0.7376 0.2611
0.2747 0.7432 0.7432
0.5000 0.0158 0.4908
0.5000 0.4908 0.0158
0.7253 0.7432 0.7432
0.7333 0.2611 0.7376
0.7333 0.7376 0.2611
0.7434 0.2516 0.2516
```

Peak list (10 most intense, 10° ≤ 2θ ≤ 90°, sorted by position)
d (Å), 2θ (°), I/Imax
7.877, 11.2, 25
5.496, 16.1, 26
4.507, 19.7, 100
2.766, 32.4, 78
2.748, 32.6, 39
2.346, 38.4, 35
1.969, 46.1, 22
1.943, 46.7, 44
1.590, 58.0, 29
1.383, 67.7, 23

***

6.
Computed powder diffractogram of KPrZr4O12 for Cu Kα (weighted mean of Kα1 and Kα2), from a cell relaxed with GGA-PBE.

Structural model:
```
KPrZr4O12
1.0
8.3981 0.0000 0.0000
0.0000 4.1509 4.1435
0.0000 -4.1509 4.1435
K Pr Zr O
1 1 4 12
Direct
0.0000 0.0000 0.0000
0.5000 0.5033 0.5033
0.2443 0.0025 0.4994
0.2443 0.4994 0.0025
0.7557 0.0025 0.4994
0.7557 0.4994 0.0025
0.0000 0.5280 0.9931
0.0000 0.9931 0.5280
0.2338 0.2214 0.2214
0.2843 0.2813 0.7212
0.2843 0.7212 0.2813
0.3019 0.7430 0.7430
0.5000 0.0751 0.4672
0.5000 0.4672 0.0751
0.6981 0.7430 0.7430
0.7157 0.2813 0.7212
0.7157 0.7212 0.2813
0.7662 0.2214 0.2214
```

Peak list (10 most intense, 10° ≤ 2θ ≤ 90°, sorted by position)
d (Å), 2θ (°), I/Imax
4.809, 18.5, 51
4.147, 21.4, 33
2.951, 30.3, 100
2.933, 30.5, 49
2.504, 35.9, 17
2.100, 43.1, 19
2.074, 43.7, 38
1.707, 53.7, 23
1.697, 54.1, 43
1.475, 63.0, 21

***

7.
Computed powder diffractogram of K3Pt2O4 for Cu Kα (weighted mean of Kα1 and Kα2), from a cell relaxed with GGA-PBE.

Structural model:
```
K3Pt2O4
1.0
3.0800 -4.6971 0.0000
3.0800 4.6971 0.0000
0.0000 0.0000 11.7959
K Pt O
6 4 8
Direct
0.1482 0.8518 0.5677
0.1482 0.8518 0.9323
0.2106 0.7894 0.2500
0.7894 0.2106 0.7500
0.8518 0.1482 0.0677
0.8518 0.1482 0.4323
0.4219 0.5781 0.7500
0.5000 0.5000 0.0000
0.5000 0.5000 0.5000
0.5781 0.4219 0.2500
0.2105 0.3726 0.6159
0.2105 0.3726 0.8841
0.3726 0.2105 0.1159
0.3726 0.2105 0.3841
0.6274 0.7895 0.6159
0.6274 0.7895 0.8841
0.7895 0.6274 0.1159
0.7895 0.6274 0.3841
```

Peak list (10 most intense, 10° ≤ 2θ ≤ 90°, sorted by position)
d (Å), 2θ (°), I/Imax
5.151, 17.2, 100
4.703, 18.9, 42
4.364, 20.4, 24
3.080, 29.0, 29
2.791, 32.1, 22
2.716, 33.0, 25
2.559, 35.1, 42
2.155, 41.9, 18
2.130, 42.4, 23
1.719, 53.3, 21